# 1
Li2Zr2Ir3: theoretical PXRD pattern (Cu Kα X-rays), based on a DFT-relaxed cell (PBE, Alexandria).

Peak list (10 most intense, 10° ≤ 2θ ≤ 90°, by intensity)
2θ/deg	I (rel.)
39.36	100
12.83	98
41.68	69
28.36	56
41.56	33
58.66	25
31.24	21
37.96	17
24.03	15
72.96	14

Structure:
Lattice parameters (Å, degrees): 4.5759 4.5775 7.3848 90.07 107.94 119.93
Atoms (fractional coordinates):
Li 0.2338 0.3669 0.0990
Li 0.7662 0.6331 0.9010
Zr 0.2761 0.8882 0.6648
Zr 0.7239 0.1118 0.3352
Ir 0.0173 0.7578 0.2755
Ir 0.5000 0.5000 0.5000
Ir 0.9827 0.2422 0.7245

***

# 2
LuNi2Ir: theoretical PXRD pattern (Cu Kα X-rays), based on a DFT-relaxed cell (PBE, Alexandria).

Peak list (10 most intense, 10° ≤ 2θ ≤ 90°, by intensity)
2θ/deg	I (rel.)
40.29	100
46.04	34
81.31	26
23.69	21
32.11	20
69.08	20
48.47	15
84.91	12
87.06	11
67.16	11

Structure:
Lattice parameters (Å, degrees): 3.9425 3.9425 3.7560 90.00 90.00 90.00
Atoms (fractional coordinates):
Lu 0.0000 0.0000 0.0000
Ni 0.0000 0.5000 0.5000
Ni 0.5000 0.0000 0.5000
Ir 0.5000 0.5000 0.0000

***

# 3
PmLuIr: theoretical PXRD pattern (Cu Kα X-rays), based on a DFT-relaxed cell (PBE, Alexandria).

Peak list (10 most intense, 10° ≤ 2θ ≤ 90°, by intensity)
2θ/deg	I (rel.)
37.28	100
67.23	36
22.57	33
44.02	18
53.75	18
79.47	11
26.12	9
59.02	8
83.91	6
71.91	6

Structure:
Lattice parameters (Å, degrees): 4.8239 4.8239 4.8239 60.00 60.00 60.00
Atoms (fractional coordinates):
Pm 0.0000 0.0000 0.0000
Lu 0.5000 0.5000 0.5000
Ir 0.2500 0.2500 0.2500

***

# 4
LuThIrRh: theoretical PXRD pattern (Cu Kα X-rays), based on a DFT-relaxed cell (PBE, Alexandria).

Peak list (10 most intense, 10° ≤ 2θ ≤ 90°, by intensity)
2θ/deg	I (rel.)
36.46	100
65.62	37
52.52	18
88.78	17
77.47	11
22.09	4
25.56	3
43.04	3
59.29	1
57.65	1

Structure:
Lattice parameters (Å, degrees): 4.9284 4.9284 4.9284 60.00 60.00 60.00
Atoms (fractional coordinates):
Lu 0.0000 0.0000 0.0000
Th 0.5000 0.5000 0.5000
Ir 0.7500 0.7500 0.7500
Rh 0.2500 0.2500 0.2500